Diffraction record for CsTb2CuTe3Se. The powder X-ray diffraction pattern is simulated, not measured: it uses the PBE geometry in OQMD and a wavelength of 1.5418 Å.
Peak positions follow from Bragg's law for the DFT cell and can differ from measured ones.

The 8 most intense peaks (5° ≤ 2θ ≤ 70°), in order of rising 2θ:
| (hkl) | 2theta | d/Å | intensity |
| --- | --- | --- | --- |
| 0 2 3 | 20.67 | 4.298 | 25.5 |
| 0 2 4 | 25.67 | 3.471 | 35.3 |
| 1 3 1 | 27.57 | 3.236 | 100.0 |
| 1 3 2 | 29.34 | 3.044 | 68.5 |
| 1 1 5 | 35.98 | 2.496 | 25.2 |
| 1 3 5 | 39.76 | 2.267 | 28.2 |
| 1 5 3 | 39.97 | 2.256 | 44.5 |
| 2 0 0 | 41.64 | 2.169 | 35.4 |

Structure:
```
data_CsTb2CuTe3Se
_symmetry_space_group_name_H-M 'C m c m'
_symmetry_Int_Tables_number 63
_symmetry_space_group_name_Hall '-C 2c 2'
_cell_length_a 4.338
_cell_length_b 15.340
_cell_length_c 15.568
_cell_angle_alpha 90.00
_cell_angle_beta 90.00
_cell_angle_gamma 90.00
loop_
_atom_site_label
_atom_site_type_symbol
_atom_site_fract_x
_atom_site_fract_y
_atom_site_fract_z
_atom_site_occupancy
Cs1 Cs 0.000 0.115 0.250 1
Tb1 Tb 0.000 0.376 0.060 1
Cu1 Cu 0.000 0.167 0.750 1
Te1 Te 0.000 0.258 0.606 1
Te2 Te 0.000 0.428 0.250 1
Se1 Se 0.000 0.000 0.000 1
```